(1)
# Cs2NaZn2F7
Theoretical powder diffractogram, CuKα. Input: DFT lattice parameters and positions (GGA-PBE).

Atomic structure:
Cell lengths 4.2197, 4.2197, 22.8465 Å; angles 90.00, 90.00, 90.00 degrees
Space group I4/mmm (No. 139)
Symmetry-distinct sites (fractional):
Cs 0.0000 0.0000 0.1815
Na 0.0000 0.0000 0.0000
Zn 0.0000 0.0000 0.4129
F 0.0000 0.0000 0.3236
F 0.0000 0.0000 0.5000
F 0.0000 0.5000 0.0834

The 12 most intense peaks (10° ≤ 2θ ≤ 80°), most intense first:
| h k l | 2θ/deg | intensity |
| --- | --- | --- |
| 1 0 5 | 28.80 | 100 |
| 1 1 0 | 29.95 | 72 |
| 1 0 3 | 24.11 | 57 |
| 2 0 0 | 42.86 | 50 |
| 2 1 5 | 52.46 | 38 |
| 1 1 6 | 38.32 | 25 |
| 0 0 8 | 31.32 | 20 |
| 1 1 8 | 43.88 | 18 |
| 0 0 4 | 15.51 | 18 |
| 2 0 8 | 54.04 | 16 |
| 2 1 3 | 49.78 | 16 |
| 2 2 0 | 62.23 | 15 |

=====

(2)
# Cs2Nb3O8F
Theoretical powder diffractogram, CuKα. Input: DFT lattice parameters and positions (GGA-PBE).

Atomic structure:
Cell lengths 6.1928, 6.1928, 27.5314 Å; angles 90.00, 90.00, 120.00 degrees
Space group R3m (No. 160, hexagonal axes)
Symmetry-distinct sites (fractional):
Cs 0.0000 0.0000 0.0000
Cs 0.0000 0.0000 0.4129
Nb 0.0007 0.5003 0.5319
O 0.0000 0.0000 0.2391
O 0.0000 0.0000 0.8249
O 0.0320 0.5160 0.8284
O 0.1846 0.3693 0.5692
F 0.0000 0.0000 0.7042

The 12 most intense peaks (10° ≤ 2θ ≤ 80°), most intense first:
| h k l | 2θ/deg | intensity |
| --- | --- | --- |
| 0 1 5 | 23.15 | 100 |
| 1 1 3 | 30.47 | 99 |
| 0 0 6 | 19.34 | 67 |
| 0 2 7 | 40.72 | 64 |
| 1 0 4 | 21.00 | 56 |
| 0 1 2 | 17.75 | 54 |
| 1 0 7 | 28.14 | 46 |
| 2 0 2 | 34.06 | 45 |
| 1 0 1 | 16.84 | 44 |
| 1 1 12 | 49.42 | 40 |
| 2 2 0 | 59.72 | 36 |
| 0 2 4 | 35.94 | 35 |

=====

(3)
# CsRb2NbF6
Theoretical powder diffractogram, CuKα. Input: DFT lattice parameters and positions (GGA-PBE).

Atomic structure:
Cell lengths 9.7951, 9.7951, 9.7951 Å; angles 90.00, 90.00, 90.00 degrees
Space group Fm-3m (No. 225)
Symmetry-distinct sites (fractional):
Cs 0.0000 0.0000 0.0000
Rb 0.2500 0.2500 0.2500
Nb 0.0000 0.0000 0.5000
F 0.0000 0.0000 0.2848

The 12 most intense peaks (10° ≤ 2θ ≤ 80°), most intense first:
| h k l | 2θ/deg | intensity |
| --- | --- | --- |
| 2 2 0 | 25.72 | 100 |
| 4 2 2 | 45.36 | 40 |
| 4 0 0 | 36.70 | 37 |
| 6 4 2 | 72.17 | 23 |
| 4 4 0 | 52.87 | 23 |
| 6 2 0 | 59.71 | 21 |
| 2 0 0 | 18.11 | 9 |
| 4 4 4 | 66.09 | 7 |
| 8 0 0 | 78.05 | 3 |
| 4 2 0 | 41.22 | 3 |
| 3 3 1 | 40.13 | 2 |
| 3 1 1 | 30.26 | 2 |

=====

(4)
# CsNbTlF6
Theoretical powder diffractogram, CuKα. Input: DFT lattice parameters and positions (GGA-PBE).

Atomic structure:
Cell lengths 5.0081, 6.4557, 6.4616 Å; angles 60.06, 89.95, 89.96 degrees
Space group P1 (No. 1)
Symmetry-distinct sites (fractional):
Cs 0.0000 0.0000 0.0000
Nb 0.6695 0.6668 0.6662
Tl 0.4652 0.3335 0.3340
F 0.4627 0.3594 0.8435
F 0.4629 0.8466 0.7945
F 0.4641 0.7959 0.3580
F 0.8735 0.5301 0.9774
F 0.8753 0.4920 0.5299
F 0.8752 0.9773 0.4921

The 12 most intense peaks (10° ≤ 2θ ≤ 80°), most intense first:
| h k l | 2θ/deg | intensity |
| --- | --- | --- |
| 1 0 -1 | 23.85 | 100 |
| 0 2 1 | 27.61 | 65 |
| -1 2 2 | 36.80 | 60 |
| 1 1 -2 | 46.62 | 31 |
| 0 3 3 | 48.82 | 30 |
| 0 2 4 | 57.00 | 25 |
| -2 1 1 | 39.42 | 19 |
| -1 3 4 | 62.66 | 14 |
| 2 -1 1 | 45.85 | 13 |
| 3 1 1 | 57.62 | 9 |
| 3 3 2 | 72.08 | 9 |
| 1 0 0 | 17.71 | 9 |

=====

(5)
# Cs2NdF5
Theoretical powder diffractogram, CuKα. Input: DFT lattice parameters and positions (GGA-PBE).

Atomic structure:
Cell lengths 12.2022, 7.8790, 7.3222 Å; angles 90.00, 90.00, 90.00 degrees
Space group Pnma (No. 62)
Symmetry-distinct sites (fractional):
Cs 0.1708 0.0021 0.0379
Nd 0.0041 0.2500 0.5535
F 0.0173 0.2500 0.8676
F 0.0663 0.5336 0.6417
F 0.1611 0.2500 0.3820
F 0.1784 0.7500 0.3551

The 12 most intense peaks (10° ≤ 2θ ≤ 80°), most intense first:
| h k l | 2θ/deg | intensity |
| --- | --- | --- |
| 3 0 1 | 25.04 | 100 |
| 1 2 1 | 26.71 | 74 |
| 0 0 2 | 24.31 | 47 |
| 2 2 0 | 26.94 | 44 |
| 2 2 2 | 36.60 | 35 |
| 5 2 1 | 45.44 | 29 |
| 3 4 1 | 53.16 | 25 |
| 0 4 0 | 46.09 | 20 |
| 3 2 1 | 33.96 | 19 |
| 4 2 0 | 37.28 | 18 |
| 3 0 3 | 43.23 | 17 |
| 1 2 2 | 34.23 | 16 |